# 1
Ta2Si6Mo: calculated PXRD pattern (Cu Ka), based on a structure optimized by DFT (GGA-PBE).
Kinematic intensities with the Lorentz-polarization factor, no thermal factor.

Top 10 peaks for 2θ from 10° to 90°, by intensity:
- 2θ = 25.6°, intensity 100
- 2θ = 40.2°, intensity 81
- 2θ = 47.1°, intensity 52
- 2θ = 35.0°, intensity 48
- 2θ = 41.3°, intensity 39
- 2θ = 25.4°, intensity 36
- 2θ = 40.5°, intensity 32
- 2θ = 21.5°, intensity 25
- 2θ = 44.1°, intensity 23
- 2θ = 69.6°, intensity 22

Crystal structure
```
Ta2Si6Mo
1.0
2.3665 -4.1412 0.0000
2.3665 4.1412 0.0000
0.0000 0.0000 6.5634
Ta Si Mo
2 6 1
Cartesian
1.1833 2.0706 1.0814
1.1833 -2.0706 5.4820
1.2246 0.6499 5.4536
1.2246 -0.6499 1.1098
2.3665 1.3297 3.2817
2.3665 -1.3297 3.2817
3.5084 0.6499 1.1098
3.5084 -0.6499 5.4536
0.0000 0.0000 3.2817
```

***

# 2
Hf4Mn2S9: calculated PXRD pattern (Cu Ka), based on a structure optimized by DFT (GGA-PBE).
Kinematic intensities with the Lorentz-polarization factor, no thermal factor.

Top 10 peaks for 2θ from 10° to 90°, by intensity:
- 2θ = 41.9°, intensity 100
- 2θ = 28.3°, intensity 75
- 2θ = 25.9°, intensity 63
- 2θ = 19.1°, intensity 59
- 2θ = 50.1°, intensity 42
- 2θ = 16.2°, intensity 35
- 2θ = 38.8°, intensity 25
- 2θ = 48.7°, intensity 25
- 2θ = 67.4°, intensity 24
- 2θ = 88.5°, intensity 24

Crystal structure
```
Hf4Mn2S9
1.0
6.3023 0.0000 0.0000
-3.1512 5.4580 0.0000
0.0000 0.0000 17.7182
Hf Mn S
8 4 18
Cartesian
0.0000 3.6386 0.0974
0.0000 3.6386 5.7171
0.0000 3.6386 8.9565
0.0000 3.6386 14.5761
3.1512 1.8193 3.1420
3.1512 1.8193 8.7616
3.1512 1.8193 12.0011
3.1512 1.8193 17.6207
0.0000 0.0000 2.8168
0.0000 0.0000 6.0422
0.0000 0.0000 11.6759
0.0000 0.0000 14.9013
-1.0006 1.7331 4.4295
-2.1505 3.7248 13.2886
-1.0268 1.8980 16.2191
-2.0208 3.6197 7.3601
2.0012 0.0000 4.4295
1.0006 1.7331 13.2886
1.0268 1.8980 7.3601
-0.9940 5.3982 16.2191
2.1571 0.0597 10.3581
1.1303 1.8383 1.4990
2.0208 3.6197 16.2191
0.9940 5.3982 7.3601
4.1452 0.0597 1.4990
2.1243 3.5599 10.3581
4.3011 0.0000 13.2886
2.1505 3.7248 4.4295
5.1720 1.8383 10.3581
4.1780 3.5599 1.4990
```